Computed PXRD pattern of Ca2P4PdO8 for Cu Kα, from a structure optimized by DFT (PBE).
Intensities are scaled so that the largest is 100.

Peak list (10 most intense, 2θ = 10–90°, sorted by position)
Position (°2θ), I_rel
11.68, 25
19.76, 41
21.37, 63
24.55, 100
32.32, 30
35.62, 25
36.11, 22
40.12, 15
44.15, 16
51.58, 34

Structure:
Lattice parameters (Å, degrees): 9.9506 9.1471 9.1407 65.93 57.07 57.01
Element x y z (fractional)
Ca: 0.0000 0.0000 0.0000
Ca: 0.0000 0.0000 0.5000
Ca: 0.0000 0.5000 0.0000
Ca: 0.5000 0.0000 0.0000
P: 0.2235 0.3009 0.3018
P: 0.3009 0.2235 0.6738
P: 0.3018 0.6738 0.2235
P: 0.3262 0.6982 0.6991
P: 0.6738 0.3018 0.3009
P: 0.6982 0.3262 0.7765
P: 0.6991 0.7765 0.3262
P: 0.7765 0.6991 0.6982
Pd: 0.3750 0.3750 0.3750
Pd: 0.6250 0.6250 0.6250
O: 0.1569 0.1578 0.7809
O: 0.1570 0.7777 0.1595
O: 0.1578 0.1569 0.4044
O: 0.1595 0.4059 0.1570
O: 0.2191 0.5956 0.8431
O: 0.2223 0.8430 0.5941
O: 0.4044 0.7809 0.1578
O: 0.4059 0.1595 0.7777
O: 0.5941 0.8405 0.2223
O: 0.5956 0.2191 0.8422
O: 0.7777 0.1570 0.4059
O: 0.7809 0.4044 0.1569
O: 0.8405 0.5941 0.8430
O: 0.8422 0.8431 0.5956
O: 0.8430 0.2223 0.8405
O: 0.8431 0.8422 0.2191